(1)
This entry pairs a crystal structure of Cu3Ag2 with its theoretical powder X-ray diffraction pattern. Radiation: Cu Kα X-rays. Structure: a crystal structure in OQMD, relaxed with GGA-PBE.
Kinematic intensities with the Lorentz-polarization factor, no thermal factor.

Largest 6 diffraction maxima, in order of rising 2θ, 2θ = 5–70°:
2θ (°)	I (rel.)
35.3	16
40.7	100
45.7	41
50.5	8
62.3	8
66.6	12

Structure:
```
data_Cu3Ag2
_cell_length_a 9.2536
_cell_length_b 9.2536
_cell_length_c 9.2536
_cell_angle_alpha 162.55
_cell_angle_beta 162.55
_cell_angle_gamma 24.77
_symmetry_space_group_name_H-M 'P 1'
_symmetry_Int_Tables_number 1
_symmetry_space_group_name_Hall 'P 1'
loop_
_atom_site_label
_atom_site_type_symbol
_atom_site_fract_x
_atom_site_fract_y
_atom_site_fract_z
Cu1 Cu 0.0000 0.0000 0.0000
Cu2 Cu 0.4156 0.4156 0.0000
Cu3 Cu 0.5844 0.5844 0.0000
Ag1 Ag 0.1890 0.1890 0.0000
Ag2 Ag 0.8110 0.8110 0.0000
```



(2)
This entry pairs a crystal structure of Cu3Ag7 with its theoretical powder X-ray diffraction pattern. Radiation: Cu Kα X-rays. Structure: a crystal structure in OQMD, relaxed with GGA-PBE.
Kinematic intensities with the Lorentz-polarization factor, no thermal factor.

Largest 6 diffraction maxima, in order of rising 2θ, 2θ = 5–70°:
2θ (°)	I (rel.)
38.8	98
38.9	100
44.3	66
46.9	29
66.5	18
66.5	18

Structure:
```
data_Cu3Ag7
_cell_length_a 7.6484
_cell_length_b 7.6484
_cell_length_c 5.7731
_cell_angle_alpha 100.94
_cell_angle_beta 100.94
_cell_angle_gamma 29.32
_symmetry_space_group_name_H-M 'P 1'
_symmetry_Int_Tables_number 1
_symmetry_space_group_name_Hall 'P 1'
loop_
_atom_site_label
_atom_site_type_symbol
_atom_site_fract_x
_atom_site_fract_y
_atom_site_fract_z
Cu1 Cu 0.0000 0.0000 0.0000
Cu2 Cu 0.9998 0.9998 0.4721
Cu3 Cu 0.4094 0.4094 0.1917
Ag1 Ag 0.2020 0.2020 0.5862
Ag2 Ag 0.2033 0.2033 0.0890
Ag3 Ag 0.4111 0.4111 0.6921
Ag4 Ag 0.5935 0.5935 0.2825
Ag5 Ag 0.5991 0.5991 0.7861
Ag6 Ag 0.8110 0.8110 0.3868
Ag7 Ag 0.8111 0.8111 0.8978
```



(3)
This entry pairs a crystal structure of Cu3Ag5 with its theoretical powder X-ray diffraction pattern. Radiation: Cu Kα X-rays. Structure: a crystal structure in OQMD, relaxed with GGA-PBE.
Kinematic intensities with the Lorentz-polarization factor, no thermal factor.

Largest 6 diffraction maxima, in order of rising 2θ, 2θ = 5–70°:
2θ (°)	I (rel.)
39.3	96
39.4	100
44.8	64
47.5	29
65.5	10
67.4	36

Structure:
```
data_Cu3Ag5
_cell_length_a 2.8501
_cell_length_b 3.8275
_cell_length_c 11.4669
_cell_angle_alpha 90.00
_cell_angle_beta 90.00
_cell_angle_gamma 90.00
_symmetry_space_group_name_H-M 'P 1'
_symmetry_Int_Tables_number 1
_symmetry_space_group_name_Hall 'P 1'
loop_
_atom_site_label
_atom_site_type_symbol
_atom_site_fract_x
_atom_site_fract_y
_atom_site_fract_z
Cu1 Cu 0.0000 0.0000 0.0000
Cu2 Cu 0.0000 0.0000 0.2409
Cu3 Cu 0.0000 0.0000 0.7591
Ag1 Ag 0.0000 0.0000 0.5000
Ag2 Ag 0.5000 0.5000 0.1212
Ag3 Ag 0.5000 0.5000 0.3638
Ag4 Ag 0.5000 0.5000 0.6362
Ag5 Ag 0.5000 0.5000 0.8788
```



(4)
This entry pairs a crystal structure of CuAg9 with its theoretical powder X-ray diffraction pattern. Radiation: Cu Kα X-rays. Structure: a crystal structure in OQMD, relaxed with GGA-PBE.
Kinematic intensities with the Lorentz-polarization factor, no thermal factor.

Largest 6 diffraction maxima, in order of rising 2θ, 2θ = 5–70°:
2θ (°)	I (rel.)
32.9	1
37.9	100
43.9	32
44.2	16
63.9	10
64.1	20

Structure:
```
data_CuAg9
_cell_length_a 2.9144
_cell_length_b 4.0953
_cell_length_c 14.5749
_cell_angle_alpha 90.00
_cell_angle_beta 90.00
_cell_angle_gamma 90.00
_symmetry_space_group_name_H-M 'P 1'
_symmetry_Int_Tables_number 1
_symmetry_space_group_name_Hall 'P 1'
loop_
_atom_site_label
_atom_site_type_symbol
_atom_site_fract_x
_atom_site_fract_y
_atom_site_fract_z
Cu1 Cu 0.0000 0.0000 0.0000
Ag1 Ag 0.0000 0.0000 0.1937
Ag2 Ag 0.0000 0.0000 0.3985
Ag3 Ag 0.0000 0.0000 0.6015
Ag4 Ag 0.0000 0.0000 0.8063
Ag5 Ag 0.5000 0.5000 0.0941
Ag6 Ag 0.5000 0.5000 0.2972
Ag7 Ag 0.5000 0.5000 0.5000
Ag8 Ag 0.5000 0.5000 0.7028
Ag9 Ag 0.5000 0.5000 0.9059
```



(5)
This entry pairs a crystal structure of Cu3Ag2 with its theoretical powder X-ray diffraction pattern. Radiation: Cu Kα X-rays. Structure: a crystal structure in OQMD, relaxed with GGA-PBE.
Kinematic intensities with the Lorentz-polarization factor, no thermal factor.

Largest 6 diffraction maxima, in order of rising 2θ, 2θ = 5–70°:
2θ (°)	I (rel.)
40.5	52
40.7	100
40.8	45
46.5	64
48.8	26
69.5	16

Structure:
```
data_Cu3Ag2
_cell_length_a 5.9417
_cell_length_b 5.9417
_cell_length_c 9.0631
_cell_angle_alpha 99.75
_cell_angle_beta 99.75
_cell_angle_gamma 26.85
_symmetry_space_group_name_H-M 'P 1'
_symmetry_Int_Tables_number 1
_symmetry_space_group_name_Hall 'P 1'
loop_
_atom_site_label
_atom_site_type_symbol
_atom_site_fract_x
_atom_site_fract_y
_atom_site_fract_z
Cu1 Cu 0.0417 0.0417 0.1392
Cu2 Cu 0.3572 0.3572 0.0440
Cu3 Cu 0.4481 0.4481 0.3229
Cu4 Cu 0.5519 0.5519 0.6771
Cu5 Cu 0.6428 0.6428 0.9560
Cu6 Cu 0.9583 0.9583 0.8608
Ag1 Ag 0.1349 0.1349 0.4566
Ag2 Ag 0.2539 0.2539 0.7628
Ag3 Ag 0.7461 0.7461 0.2372
Ag4 Ag 0.8651 0.8651 0.5434
```



(6)
This entry pairs a crystal structure of Cu5Ag3 with its theoretical powder X-ray diffraction pattern. Radiation: Cu Kα X-rays. Structure: a crystal structure in OQMD, relaxed with GGA-PBE.
Kinematic intensities with the Lorentz-polarization factor, no thermal factor.

Largest 6 diffraction maxima, in order of rising 2θ, 2θ = 5–70°:
2θ (°)	I (rel.)
24.0	5
40.7	100
47.1	16
47.5	32
69.1	18
69.5	10

Structure:
```
data_Cu5Ag3
_cell_length_a 8.1853
_cell_length_b 8.1853
_cell_length_c 8.1853
_cell_angle_alpha 152.98
_cell_angle_beta 152.98
_cell_angle_gamma 38.59
_symmetry_space_group_name_H-M 'P 1'
_symmetry_Int_Tables_number 1
_symmetry_space_group_name_Hall 'P 1'
loop_
_atom_site_label
_atom_site_type_symbol
_atom_site_fract_x
_atom_site_fract_y
_atom_site_fract_z
Cu1 Cu 0.0000 0.0000 0.0000
Cu2 Cu 0.2502 0.2502 0.0000
Cu3 Cu 0.6321 0.1321 0.5000
Cu4 Cu 0.7498 0.7498 0.0000
Cu5 Cu 0.8679 0.3679 0.5000
Ag1 Ag 0.1303 0.6303 0.5000
Ag2 Ag 0.3697 0.8697 0.5000
Ag3 Ag 0.5000 0.5000 0.0000
```



(7)
This entry pairs a crystal structure of Cu9Ag11 with its theoretical powder X-ray diffraction pattern. Radiation: Cu Kα X-rays. Structure: a crystal structure in OQMD, relaxed with GGA-PBE.
Kinematic intensities with the Lorentz-polarization factor, no thermal factor.

Largest 6 diffraction maxima, in order of rising 2θ, 2θ = 5–70°:
2θ (°)	I (rel.)
39.6	100
39.8	98
45.5	33
46.2	31
46.7	29
67.3	27

Structure:
```
data_Cu9Ag11
_cell_length_a 5.6194
_cell_length_b 9.5659
_cell_length_c 11.7241
_cell_angle_alpha 82.76
_cell_angle_beta 76.75
_cell_angle_gamma 89.51
_symmetry_space_group_name_H-M 'P 1'
_symmetry_Int_Tables_number 1
_symmetry_space_group_name_Hall 'P 1'
loop_
_atom_site_label
_atom_site_type_symbol
_atom_site_fract_x
_atom_site_fract_y
_atom_site_fract_z
Cu1 Cu 0.0000 0.0000 0.0000
Cu2 Cu 0.0011 0.4917 0.0142
Cu3 Cu 0.1450 0.5441 0.1946
Cu4 Cu 0.2049 0.3920 0.5990
Cu5 Cu 0.2073 0.9113 0.6061
Cu6 Cu 0.2505 0.2580 0.0061
Cu7 Cu 0.3206 0.0994 0.4066
Cu8 Cu 0.3481 0.9573 0.8009
Cu9 Cu 0.4449 0.1512 0.5977
Cu10 Cu 0.4928 0.4971 0.0110
Cu11 Cu 0.5461 0.3364 0.4052
Cu12 Cu 0.5469 0.8670 0.4046
Cu13 Cu 0.5996 0.1897 0.8002
Cu14 Cu 0.6425 0.0562 0.2127
Cu15 Cu 0.6636 0.5425 0.1951
Cu16 Cu 0.7742 0.1049 0.4003
Cu17 Cu 0.8509 0.9569 0.8062
Cu18 Cu 0.8924 0.3100 0.2046
Ag1 Ag 0.0435 0.3367 0.3997
Ag2 Ag 0.0528 0.8656 0.4107
Ag3 Ag 0.0998 0.7142 0.7992
Ag4 Ag 0.1124 0.1928 0.8044
Ag5 Ag 0.1348 0.0674 0.2035
Ag6 Ag 0.2443 0.7456 0.0069
Ag7 Ag 0.3063 0.5858 0.3926
Ag8 Ag 0.3450 0.4474 0.8127
Ag9 Ag 0.3992 0.8034 0.2091
Ag10 Ag 0.4079 0.3070 0.2044
Ag11 Ag 0.4450 0.6543 0.5949
Ag12 Ag 0.4959 0.0070 0.9988
Ag13 Ag 0.5973 0.7073 0.8042
Ag14 Ag 0.6845 0.3902 0.6040
Ag15 Ag 0.6851 0.9099 0.6059
Ag16 Ag 0.7493 0.7431 0.0066
Ag17 Ag 0.7597 0.2477 0.0091
Ag18 Ag 0.7997 0.5962 0.3917
Ag19 Ag 0.8479 0.4467 0.8086
Ag20 Ag 0.8933 0.8100 0.2060
Ag21 Ag 0.9512 0.6456 0.5990
Ag22 Ag 0.9571 0.1451 0.6019
```



(8)
This entry pairs a crystal structure of Cu4Ag5 with its theoretical powder X-ray diffraction pattern. Radiation: Cu Kα X-rays. Structure: a crystal structure in OQMD, relaxed with GGA-PBE.
Kinematic intensities with the Lorentz-polarization factor, no thermal factor.

Largest 6 diffraction maxima, in order of rising 2θ, 2θ = 5–70°:
2θ (°)	I (rel.)
39.6	100
39.7	98
46.1	63
46.3	31
67.2	28
67.3	19

Structure:
```
data_Cu4Ag5
_cell_length_a 4.8213
_cell_length_b 4.8213
_cell_length_c 8.3257
_cell_angle_alpha 106.52
_cell_angle_beta 106.52
_cell_angle_gamma 48.27
_symmetry_space_group_name_H-M 'P 1'
_symmetry_Int_Tables_number 1
_symmetry_space_group_name_Hall 'P 1'
loop_
_atom_site_label
_atom_site_type_symbol
_atom_site_fract_x
_atom_site_fract_y
_atom_site_fract_z
Cu1 Cu 0.0000 0.0000 0.0000
Cu2 Cu 0.0066 0.0066 0.6893
Cu3 Cu 0.3420 0.3420 0.7899
Cu4 Cu 0.6668 0.6668 0.2245
Ag1 Ag 0.0064 0.0064 0.3352
Ag2 Ag 0.3367 0.3367 0.1126
Ag3 Ag 0.3433 0.3433 0.4604
Ag4 Ag 0.6630 0.6630 0.8983
Ag5 Ag 0.6783 0.6783 0.5740
```